# 1
Calculated X-ray diffraction stick pattern
Compound: TiRe2Mo4
Radiation: copper Kα
Structure: a GGA-PBE-relaxed structure
Peak positions follow from Bragg's law for the DFT cell and can differ from measured ones.

Largest 10 diffraction maxima, most intense first, 2θ from 15° to 90°:
2θ/deg  d (Å)  I (rel.)
39.30  2.293  100
40.40  2.233  26
48.17  1.889  24
83.86  1.154  17
72.76  1.300  11
64.57  1.443  10
64.69  1.441  10
84.59  1.146  9
43.23  2.093  8
36.04  2.492  8

Structure:
```
TiRe2Mo4
1.0
13.6661 0.0000 0.0000
0.0000 2.6693 0.0000
-3.3207 0.0000 6.1145
Ti Re Mo
2 4 8
Direct
0.0000 0.0000 0.0000 Ti
0.5000 0.5000 0.0000 Ti
0.2185 0.0000 0.1439 Re
0.2815 0.5000 0.8561 Re
0.7185 0.5000 0.1439 Re
0.7815 0.0000 0.8561 Re
0.0724 0.0000 0.7071 Mo
0.1437 0.5000 0.4146 Mo
0.3563 0.0000 0.5854 Mo
0.4276 0.5000 0.2929 Mo
0.5724 0.5000 0.7071 Mo
0.6437 0.0000 0.4146 Mo
0.8563 0.5000 0.5854 Mo
0.9276 0.0000 0.2929 Mo
```

# 2
Calculated X-ray diffraction stick pattern
Compound: TiReMo6
Radiation: copper Kα
Structure: a GGA-PBE-relaxed structure
Peak positions follow from Bragg's law for the DFT cell and can differ from measured ones.

Largest 10 diffraction maxima, most intense first, 2θ from 15° to 90°:
2θ/deg  d (Å)  I (rel.)
39.33  2.291  100
35.60  2.522  36
45.59  1.990  36
54.09  1.696  21
40.85  2.209  17
71.31  1.323  17
20.10  4.418  16
75.38  1.261  14
61.75  1.502  14
84.61  1.145  11

Structure:
```
TiReMo6
1.0
4.5816 2.6452 1.7731
-4.5816 2.6452 1.7731
0.0000 -5.2904 1.7731
Ti Re Mo
1 1 6
Direct
0.0000 0.0000 0.0000 Ti
0.5000 0.5000 0.5000 Re
0.2494 0.2494 0.7432 Mo
0.2494 0.7432 0.2494 Mo
0.2568 0.7506 0.7506 Mo
0.7432 0.2494 0.2494 Mo
0.7506 0.2568 0.7506 Mo
0.7506 0.7506 0.2568 Mo
```

# 3
Calculated X-ray diffraction stick pattern
Compound: V4Re5Mo
Radiation: copper Kα
Structure: a GGA-PBE-relaxed structure
Peak positions follow from Bragg's law for the DFT cell and can differ from measured ones.

Largest 10 diffraction maxima, most intense first, 2θ from 15° to 90°:
2θ/deg  d (Å)  I (rel.)
41.73  2.164  100
29.21  3.057  22
76.25  1.249  22
60.58  1.528  11
29.10  3.069  11
76.08  1.251  11
51.73  1.767  10
68.63  1.368  9
60.33  1.534  5
68.42  1.371  4

Structure:
```
V4Re5Mo
1.0
3.0569 0.0000 0.0000
0.0000 3.0569 0.0000
0.0000 0.0000 15.3427
V Re Mo
4 5 1
Direct
0.0000 0.0000 0.0986 V
0.0000 0.0000 0.2954 V
0.0000 0.0000 0.7046 V
0.0000 0.0000 0.9014 V
0.5000 0.5000 0.0000 Re
0.5000 0.5000 0.1973 Re
0.5000 0.5000 0.3933 Re
0.5000 0.5000 0.6067 Re
0.5000 0.5000 0.8027 Re
0.0000 0.0000 0.5000 Mo
```

# 4
Calculated X-ray diffraction stick pattern
Compound: V3ReMo3
Radiation: copper Kα
Structure: a GGA-PBE-relaxed structure
Peak positions follow from Bragg's law for the DFT cell and can differ from measured ones.

Largest 10 diffraction maxima, most intense first, 2θ from 15° to 90°:
2θ/deg  d (Å)  I (rel.)
42.36  2.134  100
42.63  2.121  100
29.69  3.009  73
36.63  2.453  35
20.81  4.268  29
61.66  1.504  28
77.85  1.227  26
78.04  1.225  13
52.81  1.733  12
77.29  1.234  12

Structure:
```
V3ReMo3
1.0
4.2419 2.4490 1.7476
-4.2419 2.4490 1.7476
0.0000 -4.8981 1.7476
V Re Mo
3 1 3
Direct
0.1673 0.1673 0.6654 V
0.1673 0.6654 0.1673 V
0.6654 0.1673 0.1673 V
0.2047 0.2047 0.2047 Re
0.1223 0.6664 0.6664 Mo
0.6664 0.1223 0.6664 Mo
0.6664 0.6664 0.1223 Mo
```

# 5
Calculated X-ray diffraction stick pattern
Compound: V8ReMo2
Radiation: copper Kα
Structure: a GGA-PBE-relaxed structure
Peak positions follow from Bragg's law for the DFT cell and can differ from measured ones.

Largest 10 diffraction maxima, most intense first, 2θ from 15° to 90°:
2θ/deg  d (Å)  I (rel.)
42.42  2.131  100
43.83  2.066  60
47.21  1.925  55
38.16  2.358  49
22.89  3.885  46
27.09  3.292  39
43.11  2.098  38
26.74  3.334  35
44.07  2.055  30
39.47  2.283  28

Structure:
```
V8ReMo2
1.0
2.4392 -6.8491 0.0000
2.4392 6.8491 0.0000
0.0000 0.0000 4.7164
V Re Mo
8 1 2
Direct
0.0000 0.0000 0.2445 V
0.0000 0.0000 0.7555 V
0.0894 0.4144 0.5000 V
0.4045 0.5955 0.0000 V
0.4144 0.0894 0.5000 V
0.5856 0.9106 0.5000 V
0.5955 0.4045 0.0000 V
0.9106 0.5856 0.5000 V
0.5000 0.5000 0.5000 Re
0.1990 0.8010 0.0000 Mo
0.8010 0.1990 0.0000 Mo
```

# 6
Calculated X-ray diffraction stick pattern
Compound: V2Re2Mo3
Radiation: copper Kα
Structure: a GGA-PBE-relaxed structure
Peak positions follow from Bragg's law for the DFT cell and can differ from measured ones.

Largest 10 diffraction maxima, most intense first, 2θ from 15° to 90°:
2θ/deg  d (Å)  I (rel.)
41.17  2.192  100
75.04  1.266  33
59.64  1.550  16
25.29  3.521  14
89.38  1.096  11
33.55  2.671  7
30.26  2.953  3
61.31  1.512  3
43.74  2.070  3
48.93  1.861  3

Structure:
```
V2Re2Mo3
1.0
2.1929 1.2660 6.2625
-2.1929 1.2660 6.2625
0.0000 -2.5321 6.2625
V Re Mo
2 2 3
Direct
0.0718 0.0718 0.0718 V
0.9282 0.9282 0.9282 V
0.2143 0.2143 0.2143 Re
0.7857 0.7857 0.7857 Re
0.3575 0.3575 0.3575 Mo
0.5000 0.5000 0.5000 Mo
0.6425 0.6425 0.6425 Mo
```

# 7
Calculated X-ray diffraction stick pattern
Compound: V2Re3Mo6
Radiation: copper Kα
Structure: a GGA-PBE-relaxed structure
Peak positions follow from Bragg's law for the DFT cell and can differ from measured ones.

Largest 10 diffraction maxima, most intense first, 2θ from 15° to 90°:
2θ/deg  d (Å)  I (rel.)
41.92  2.155  100
40.14  2.246  33
30.05  2.974  33
41.60  2.171  28
39.77  2.267  26
73.66  1.286  18
42.40  2.132  17
57.79  1.596  16
74.16  1.279  15
21.96  4.048  9

Structure:
```
V2Re3Mo6
1.0
-2.2668 4.3830 4.4925
2.2668 -4.3830 4.4925
2.2668 4.3830 -4.4925
V Re Mo
2 3 6
Direct
0.0000 0.2389 0.2389 V
0.0000 0.7611 0.7611 V
0.3101 0.0000 0.3101 Re
0.5000 0.5000 0.0000 Re
0.6899 0.0000 0.6899 Re
0.0896 0.2587 0.8308 Mo
0.2755 0.7755 0.5000 Mo
0.4279 0.2587 0.1692 Mo
0.5721 0.7413 0.8308 Mo
0.7245 0.2245 0.5000 Mo
0.9104 0.7413 0.1692 Mo
```

# 8
Calculated X-ray diffraction stick pattern
Compound: V2ReMoW
Radiation: copper Kα
Structure: a GGA-PBE-relaxed structure
Peak positions follow from Bragg's law for the DFT cell and can differ from measured ones.

Largest 10 diffraction maxima, most intense first, 2θ from 15° to 90°:
2θ/deg  d (Å)  I (rel.)
37.90  2.374  100
44.37  2.042  92
15.77  5.619  78
43.16  2.096  72
34.71  2.585  59
43.61  2.075  58
34.19  2.622  53
45.57  1.991  52
76.82  1.241  25
29.56  3.021  22

Structure:
```
V2ReMoW
1.0
6.2264 0.0000 0.0000
0.0000 2.9107 0.0000
-2.1309 0.0000 8.5833
V Re Mo W
4 2 2 2
Direct
0.0560 0.2500 0.1486 V
0.4256 0.7500 0.3570 V
0.5744 0.2500 0.6430 V
0.9440 0.7500 0.8514 V
0.2803 0.7500 0.7422 Re
0.7197 0.2500 0.2578 Re
0.1516 0.2500 0.4549 Mo
0.8484 0.7500 0.5451 Mo
0.3495 0.7500 0.0541 W
0.6505 0.2500 0.9459 W
```

# 9
Calculated X-ray diffraction stick pattern
Compound: ReMo2W
Radiation: copper Kα
Structure: a GGA-PBE-relaxed structure
Peak positions follow from Bragg's law for the DFT cell and can differ from measured ones.

Largest 10 diffraction maxima, most intense first, 2θ from 15° to 90°:
2θ/deg  d (Å)  I (rel.)
40.43  2.231  100
73.67  1.286  26
40.26  2.240  25
58.49  1.578  25
40.56  2.224  25
73.29  1.292  17
19.82  4.480  13
87.42  1.116  11
73.43  1.290  9
34.87  2.573  7

Structure:
```
ReMo2W
1.0
3.1542 0.0000 0.0000
0.0000 4.4485 0.0000
0.0000 0.0000 8.9603
Re Mo W
2 4 2
Direct
0.0000 0.0000 0.0000 Re
0.5000 0.5000 0.5000 Re
0.0000 0.5000 0.2466 Mo
0.0000 0.5000 0.7534 Mo
0.5000 0.0000 0.2534 Mo
0.5000 0.0000 0.7466 Mo
0.0000 0.0000 0.5000 W
0.5000 0.5000 0.0000 W
```

# 10
Calculated X-ray diffraction stick pattern
Compound: ReMoW14
Radiation: copper Kα
Structure: a GGA-PBE-relaxed structure
Peak positions follow from Bragg's law for the DFT cell and can differ from measured ones.

Largest 9 diffraction maxima, most intense first, 2θ from 15° to 90°:
2θ/deg  d (Å)  I (rel.)
40.09  2.249  100
72.81  1.299  28
58.01  1.590  21
40.18  2.244  20
72.97  1.297  14
86.57  1.124  9
86.47  1.125  2
86.79  1.122  2
19.74  4.497  1

Structure:
```
ReMoW14
1.0
3.1822 -4.4884 0.0000
3.1822 4.4884 0.0000
0.0000 0.0000 9.0039
Re Mo W
1 1 14
Direct
0.0000 0.0000 0.0000 Re
0.5000 0.5000 0.0000 Mo
0.0000 0.0000 0.5000 W
0.0000 0.5000 0.0000 W
0.0000 0.5000 0.5000 W
0.2502 0.2502 0.2497 W
0.2502 0.2502 0.7503 W
0.2498 0.7502 0.2489 W
0.2498 0.7502 0.7511 W
0.5000 0.0000 0.0000 W
0.5000 0.0000 0.5000 W
0.5000 0.5000 0.5000 W
0.7502 0.2498 0.2489 W
0.7502 0.2498 0.7511 W
0.7498 0.7498 0.2497 W
0.7498 0.7498 0.7503 W
```

# 11
Calculated X-ray diffraction stick pattern
Compound: Re2Mo5W
Radiation: copper Kα
Structure: a GGA-PBE-relaxed structure
Peak positions follow from Bragg's law for the DFT cell and can differ from measured ones.

Largest 10 diffraction maxima, most intense first, 2θ from 15° to 90°:
2θ/deg  d (Å)  I (rel.)
40.36  2.235  100
40.47  2.229  100
73.58  1.287  23
73.41  1.290  23
58.53  1.577  22
28.27  3.157  16
73.69  1.286  11
73.27  1.292  11
58.37  1.581  11
87.48  1.115  7

Structure:
```
Re2Mo5W
1.0
8.9066 0.0000 0.0000
0.0000 6.3095 0.0000
-4.4407 0.0000 4.4770
Re Mo W
4 10 2
Direct
0.0000 0.0000 0.0000 Re
0.0011 0.0000 0.5011 Re
0.5000 0.5000 0.0000 Re
0.5011 0.5000 0.5011 Re
0.0014 0.5000 0.9978 Mo
0.2391 0.2494 0.9819 Mo
0.2389 0.2499 0.4814 Mo
0.2389 0.7501 0.4814 Mo
0.2391 0.7506 0.9819 Mo
0.5014 0.0000 0.9978 Mo
0.7389 0.2501 0.4814 Mo
0.7391 0.2506 0.9819 Mo
0.7391 0.7494 0.9819 Mo
0.7389 0.7499 0.4814 Mo
0.9996 0.5000 0.4960 W
0.4996 0.0000 0.4960 W
```

# 12
Calculated X-ray diffraction stick pattern
Compound: ReMo2W
Radiation: copper Kα
Structure: a GGA-PBE-relaxed structure
Peak positions follow from Bragg's law for the DFT cell and can differ from measured ones.

Largest 8 diffraction maxima, most intense first, 2θ from 15° to 90°:
2θ/deg  d (Å)  I (rel.)
40.40  2.233  100
73.47  1.289  34
58.46  1.579  17
87.36  1.116  11
24.42  3.646  11
47.77  1.904  6
64.30  1.449  3
78.74  1.215  2

Structure:
```
ReMo2W
1.0
6.3147 0.0000 0.0000
0.0000 6.3147 0.0000
0.0000 0.0000 6.3147
Re Mo W
4 8 4
Direct
0.0000 0.0000 0.0000 Re
0.0000 0.5000 0.5000 Re
0.5000 0.0000 0.5000 Re
0.5000 0.5000 0.0000 Re
0.0000 0.0000 0.5000 Mo
0.0000 0.5000 0.0000 Mo
0.2500 0.2500 0.2500 Mo
0.2500 0.7500 0.7500 Mo
0.5000 0.0000 0.0000 Mo
0.5000 0.5000 0.5000 Mo
0.7500 0.2500 0.7500 Mo
0.7500 0.7500 0.2500 Mo
0.2500 0.2500 0.7500 W
0.2500 0.7500 0.2500 W
0.7500 0.2500 0.2500 W
0.7500 0.7500 0.7500 W
```

# 13
Calculated X-ray diffraction stick pattern
Compound: ReMo3W
Radiation: copper Kα
Structure: a GGA-PBE-relaxed structure
Peak positions follow from Bragg's law for the DFT cell and can differ from measured ones.

Largest 10 diffraction maxima, most intense first, 2θ from 15° to 90°:
2θ/deg  d (Å)  I (rel.)
39.24  2.296  100
45.03  2.013  84
37.56  2.395  73
37.38  2.406  41
42.02  2.150  29
54.02  1.698  22
86.71  1.123  21
67.98  1.379  17
19.66  4.515  16
80.24  1.196  13

Structure:
```
ReMo3W
1.0
13.0626 0.0000 0.0000
0.0000 5.1498 0.0000
0.0000 0.0000 4.8117
Re Mo W
4 12 4
Direct
0.2500 0.0000 0.1580 Re
0.2500 0.5000 0.3420 Re
0.7500 0.0000 0.8420 Re
0.7500 0.5000 0.6580 Re
0.0568 0.2500 0.2500 Mo
0.1438 0.9999 0.7016 Mo
0.1438 0.5001 0.7984 Mo
0.3562 0.0001 0.7016 Mo
0.3562 0.4999 0.7984 Mo
0.4432 0.7500 0.2500 Mo
0.5568 0.2500 0.7500 Mo
0.6438 0.9999 0.2984 Mo
0.6438 0.5001 0.2016 Mo
0.8562 0.0001 0.2984 Mo
0.8562 0.4999 0.2016 Mo
0.9432 0.7500 0.7500 Mo
0.0579 0.7500 0.2500 W
0.4421 0.2500 0.2500 W
0.5579 0.7500 0.7500 W
0.9421 0.2500 0.7500 W
```